(1)
Calculated X-ray powder pattern of DyScGa2Ni4 for a wavelength of 1.5418 Å, from a structure optimized by DFT (GGA-PBE).

The 8 most intense peaks (10° ≤ 2θ ≤ 90°), sorted by position:
(hkl)	2theta	I (rel.)
0 0 1	10.48	17
1 0 0	24.97	21
1 0 1	27.15	18
1 0 2	32.88	54
1 0 3	40.84	100
1 1 0	43.98	98
2 0 3	61.57	28
2 1 3	78.72	27

Atomic structure:
```
data_DyScGa2Ni4
_chemical_formula_sum 'Dy1 Sc1 Ga2 Ni4'
_space_group_name_H-M_alt 'P -6 m 2'
_space_group_IT_number 187
_space_group_name_Hall 'P -6 2'
_cell_length_a 4.1174
_cell_length_b 4.1174
_cell_length_c 8.4450
_cell_angle_alpha 90.00
_cell_angle_beta 90.00
_cell_angle_gamma 120.00
loop_
_atom_site_label
_atom_site_type_symbol
_atom_site_fract_x
_atom_site_fract_y
_atom_site_fract_z
Dy1 Dy 0.0000 0.0000 0.0000
Sc1 Sc 0.6667 0.3333 0.5000
Ga1 Ga 0.3333 0.6667 0.2635
Ni1 Ni 0.0000 0.0000 0.3364
Ni2 Ni 0.6667 0.3333 0.1902
```

---

(2)
Calculated X-ray powder pattern of NbC6O3 for a wavelength of 1.5418 Å, from a structure optimized by DFT (GGA-PBE).

The 8 most intense peaks (10° ≤ 2θ ≤ 90°), sorted by position:
(hkl)	2theta	I (rel.)
1 0 1	20.18	84
1 1 0	21.58	28
0 0 2	26.55	23
2 0 0	30.71	100
1 1 2	34.47	38
2 1 1	37.03	21
2 2 0	43.98	26
3 1 2	57.04	26

Atomic structure:
```
data_NbC6O3
_chemical_formula_sum 'Nb2 C12 O6'
_space_group_name_H-M_alt 'I 4/m m m'
_space_group_IT_number 139
_space_group_name_Hall '-I 4 2'
_cell_length_a 5.8231
_cell_length_b 5.8231
_cell_length_c 6.7152
_cell_angle_alpha 90.00
_cell_angle_beta 90.00
_cell_angle_gamma 90.00
loop_
_atom_site_label
_atom_site_type_symbol
_atom_site_fract_x
_atom_site_fract_y
_atom_site_fract_z
Nb1 Nb 0.0000 0.0000 0.0000
C1 C 0.0000 0.0000 0.3133
C2 C 0.0000 0.3843 0.0000
O1 O 0.0000 0.0000 0.5000
O2 O 0.0000 0.5000 0.2500
```

---

(3)
Calculated X-ray powder pattern of MgZn5 for a wavelength of 1.5418 Å, from a structure optimized by DFT (GGA-PBE).

The 8 most intense peaks (10° ≤ 2θ ≤ 90°), sorted by position:
(hkl)	2theta	I (rel.)
1 1 0	37.34	25
0 0 2	39.54	27
1 1 1	42.45	100
1 1 2	55.51	15
3 0 0	67.34	15
1 1 3	73.72	18
3 0 2	81.00	18
2 2 1	82.93	12

Atomic structure:
```
data_MgZn5
_chemical_formula_sum 'Mg1 Zn5'
_space_group_name_H-M_alt 'P -6 2 m'
_space_group_IT_number 189
_space_group_name_Hall 'P -6 -2'
_cell_length_a 4.8167
_cell_length_b 4.8167
_cell_length_c 4.5585
_cell_angle_alpha 90.00
_cell_angle_beta 90.00
_cell_angle_gamma 120.00
loop_
_atom_site_label
_atom_site_type_symbol
_atom_site_fract_x
_atom_site_fract_y
_atom_site_fract_z
Mg1 Mg 0.0000 0.0000 0.0000
Zn1 Zn 0.0000 0.3474 0.5000
Zn2 Zn 0.3333 0.6667 0.0000
```